This entry pairs a crystal structure of VAg5O4F2 with its computed powder diffraction line list. Radiation: Cu Ka. Structure: DFT lattice parameters and positions (GGA+U).
Intensities are scaled so that the largest is 100.

Crystal structure
abc: 7.037 5.465 5.465
angles: 119.21 90.00 90.00
Sites, in units of the cell vectors:
V: 0.000 0.000 0.000
Ag: 0.249 0.361 0.689
Ag: 0.249 0.689 0.361
Ag: 0.500 0.152 0.152
Ag: 0.751 0.361 0.689
Ag: 0.751 0.689 0.361
O: 0.000 0.665 0.970
O: 0.000 0.970 0.665
O: 0.198 0.195 0.195
O: 0.802 0.195 0.195
F: 0.500 0.010 0.634
F: 0.500 0.634 0.010

Most intense lines, 2θ from 10° to 90°, by angle:
2.831 Å, 31.6 deg, intensity 78
2.820 Å, 31.7 deg, intensity 29
2.765 Å, 32.4 deg, intensity 26
2.732 Å, 32.8 deg, intensity 100
2.174 Å, 41.5 deg, intensity 29
2.158 Å, 41.9 deg, intensity 38
1.974 Å, 46.0 deg, intensity 21
1.759 Å, 52.0 deg, intensity 17
1.591 Å, 58.0 deg, intensity 19
1.479 Å, 62.8 deg, intensity 26